Simulated powder X-ray diffraction pattern
Compound: La3TlN
Radiation: Cu Kα, 1.54184 Å
Structure: a structure optimized by DFT (GGA-PBE)
Neutral-atom scattering factors, no anomalous dispersion.

Top 8 peaks for 10 to 80 degrees two-theta, sorted by position:
| 2theta | d/Å | I/Imax | index |
| --- | --- | --- | --- |
| 30.46 | 2.935 | 100 | 1 0 2 |
| 32.39 | 2.764 | 47 | 1 1 0 |
| 40.60 | 2.222 | 12 | 0 0 4 |
| 46.46 | 1.954 | 17 | 2 0 0 |
| 52.87 | 1.732 | 22 | 1 1 4 |
| 56.57 | 1.627 | 35 | 2 1 2 |
| 63.38 | 1.468 | 13 | 2 0 4 |
| 67.64 | 1.385 | 9 | 1 0 6 |

Structure:
a = 3.909 Å, b = 3.909 Å, c = 8.888 Å
α = 90.00°, β = 90.00°, γ = 90.00°
Element x y z (fractional)
La 0.000 0.000 0.000
La 0.500 0.500 0.265
La 0.500 0.500 0.735
Tl 0.000 0.000 0.500
N 0.500 0.500 0.000